No. 1
Theoretical powder X-ray diffraction pattern of Er3TaN4 for Cu Kα (λ = 1.5418 Å), from a PBE-relaxed structure.

Cell and atoms:
Cell: 5.7627 5.7627 3.3151 Å, 90.00 90.00 109.14°
Sites, in units of the cell vectors:
1 Er 0.0000 0.0000 0.0000
2 Er 0.0000 0.5000 0.5000
3 Er 0.5000 0.0000 0.5000
4 Ta 0.5000 0.5000 0.0000
5 N 0.2632 0.7368 0.0000
6 N 0.2689 0.2689 0.5000
7 N 0.7311 0.7311 0.5000
8 N 0.7368 0.2632 0.0000

Top 8 peaks for 10 to 90 degrees two-theta, sorted by position:
32.90°, 2.722 Å, rel. 73
33.08°, 2.708 Å, rel. 72
38.28°, 2.351 Å, rel. 100
54.97°, 1.670 Å, rel. 11
55.27°, 1.662 Å, rel. 45
65.68°, 1.422 Å, rel. 21
65.96°, 1.416 Å, rel. 32
69.00°, 1.361 Å, rel. 11

---

No. 2
Theoretical powder X-ray diffraction pattern of TbEr4N5 for Cu Kα (λ = 1.5418 Å), from a PBE-relaxed structure.

Cell and atoms:
Cell: 12.4104 12.4104 12.4104 Å, 164.05 164.05 22.63°
Sites, in units of the cell vectors:
1 Tb 0.0000 0.0000 0.0000
2 Er 0.2003 0.2003 0.0000
3 Er 0.3990 0.3990 0.0000
4 Er 0.6010 0.6010 0.0000
5 Er 0.7997 0.7997 0.0000
6 N 0.1013 0.1013 0.0000
7 N 0.2998 0.2998 0.0000
8 N 0.5000 0.5000 0.0000
9 N 0.7002 0.7002 0.0000
10 N 0.8987 0.8987 0.0000

Top 7 peaks for 10 to 90 degrees two-theta, sorted by position:
31.83°, 2.811 Å, rel. 100
36.92°, 2.435 Å, rel. 71
53.21°, 1.722 Å, rel. 48
63.35°, 1.468 Å, rel. 44
66.52°, 1.406 Å, rel. 16
78.59°, 1.217 Å, rel. 8
87.28°, 1.117 Å, rel. 19

---

No. 3
Theoretical powder X-ray diffraction pattern of TbEr3N4 for Cu Kα (λ = 1.5418 Å), from a PBE-relaxed structure.

Cell and atoms:
Cell: 4.8739 4.8739 4.8739 Å, 90.00 90.00 90.00°
Sites, in units of the cell vectors:
1 Tb 0.0000 0.0000 0.0000
2 Er 0.0000 0.5000 0.5000
3 Er 0.5000 0.0000 0.5000
4 Er 0.5000 0.5000 0.0000
5 N 0.0000 0.0000 0.5000
6 N 0.0000 0.5000 0.0000
7 N 0.5000 0.0000 0.0000
8 N 0.5000 0.5000 0.5000

Top 7 peaks for 10 to 90 degrees two-theta, sorted by position:
31.80°, 2.814 Å, rel. 100
36.88°, 2.437 Å, rel. 71
53.15°, 1.723 Å, rel. 49
63.28°, 1.470 Å, rel. 44
66.45°, 1.407 Å, rel. 16
78.50°, 1.218 Å, rel. 8
87.17°, 1.118 Å, rel. 19

---

No. 4
Theoretical powder X-ray diffraction pattern of Tb2ErTmN4 for Cu Kα (λ = 1.5418 Å), from a PBE-relaxed structure.

Cell and atoms:
Cell: 5.9865 3.4575 5.9874 Å, 90.00 109.45 90.00°
Sites, in units of the cell vectors:
1 Tb 0.0000 0.0000 0.0000
2 Tb 0.5000 0.5000 0.0000
3 Er 0.0000 0.5000 0.5000
4 Tm 0.5000 0.0000 0.5000
5 N 0.2491 0.0000 0.7453
6 N 0.2524 0.5000 0.2552
7 N 0.7476 0.5000 0.7448
8 N 0.7509 0.0000 0.2547

Top 8 peaks for 10 to 90 degrees two-theta, sorted by position:
31.70°, 2.823 Å, rel. 100
36.77°, 2.445 Å, rel. 71
52.97°, 1.729 Å, rel. 49
63.06°, 1.474 Å, rel. 45
66.22°, 1.411 Å, rel. 16
78.21°, 1.222 Å, rel. 8
86.84°, 1.122 Å, rel. 19
89.69°, 1.093 Å, rel. 23

---

No. 5
Theoretical powder X-ray diffraction pattern of Tb2YErN4 for Cu Kα (λ = 1.5418 Å), from a PBE-relaxed structure.

Cell and atoms:
Cell: 6.0196 3.4765 6.0196 Å, 90.00 109.45 90.00°
Sites, in units of the cell vectors:
1 Tb 0.0000 0.0000 0.0000
2 Tb 0.0000 0.5000 0.5000
3 Y 0.5000 0.0000 0.5000
4 Er 0.5000 0.5000 0.0000
5 N 0.2518 0.5000 0.2490
6 N 0.2530 0.0000 0.7526
7 N 0.7470 0.0000 0.2474
8 N 0.7482 0.5000 0.7510

Top 8 peaks for 10 to 90 degrees two-theta, sorted by position:
31.52°, 2.838 Å, rel. 100
36.56°, 2.458 Å, rel. 74
52.66°, 1.738 Å, rel. 51
62.68°, 1.482 Å, rel. 44
65.81°, 1.419 Å, rel. 17
77.70°, 1.229 Å, rel. 8
86.25°, 1.128 Å, rel. 19
89.07°, 1.099 Å, rel. 23

---

No. 6
Theoretical powder X-ray diffraction pattern of TbEr3Zr2N6 for Cu Kα (λ = 1.5418 Å), from a PBE-relaxed structure.

Cell and atoms:
Cell: 7.5386 7.5386 6.7618 Å, 103.01 103.01 25.82°
Sites, in units of the cell vectors:
1 Tb 0.0000 0.0000 0.0000
2 Er 0.0000 0.0000 0.5000
3 Er 0.3330 0.3330 0.1672
4 Er 0.6670 0.6670 0.8328
5 Zr 0.3328 0.3328 0.6651
6 Zr 0.6672 0.6672 0.3349
7 N 0.1691 0.1691 0.0958
8 N 0.1702 0.1702 0.5766
9 N 0.4942 0.4942 0.7427
10 N 0.5058 0.5058 0.2573
11 N 0.8298 0.8298 0.4234
12 N 0.8309 0.8309 0.9042

Top 8 peaks for 10 to 90 degrees two-theta, sorted by position:
32.51°, 2.754 Å, rel. 100
37.71°, 2.385 Å, rel. 74
54.26°, 1.690 Å, rel. 8
54.42°, 1.686 Å, rel. 41
64.72°, 1.440 Å, rel. 15
64.86°, 1.437 Å, rel. 29
67.99°, 1.379 Å, rel. 8
89.66°, 1.093 Å, rel. 10